# Ac12Pr5Ho
Computed XRD peak list, Cu Kα. Input: a cell relaxed with GGA-PBE.
Lines closer than 0.1° are merged.

Top 8 peaks for 2θ from 10° to 80°, in order of rising 2θ:
| 2theta | I_rel | h k l |
| --- | --- | --- |
| 26.1 | 21 | 0 3 3 |
| 28.5 | 37 | 2 0 0 |
| 29.8 | 100 | 1 3 3 |
| 30.0 | 46 | 1 0 6 |
| 46.3 | 19 | 0 3 9 |
| 51.2 | 23 | 3 3 3 |
| 55.2 | 23 | 2 3 9 |
| 55.7 | 16 | 1 6 6 |

```
data_Ac12Pr5Ho
_chemical_formula_sum 'Ac24 Pr10 Ho2'
_symmetry_space_group_name_H-M 'A m m 2'
_symmetry_Int_Tables_number 38
_symmetry_space_group_name_Hall 'A 2 -2'
_cell_length_a 6.2721
_cell_length_b 11.8869
_cell_length_c 20.3291
_cell_angle_alpha 90.00
_cell_angle_beta 90.00
_cell_angle_gamma 90.00
loop_
_atom_site_label
_atom_site_fract_x
_atom_site_fract_y
_atom_site_fract_z
Ac1 0.0000 0.1615 0.0000
Ac2 0.0000 0.1619 0.6671
Ac3 0.0000 0.1626 0.3339
Ac4 0.5000 0.1623 0.1156
Ac5 0.5000 0.1620 0.7837
Ac6 0.5000 0.1639 0.4492
Pr1 0.0000 0.0000 0.1707
Pr2 0.0000 0.0000 0.5053
Pr3 0.0000 0.0000 0.8395
Pr4 0.5000 0.0000 0.2789
Pr5 0.5000 0.0000 0.6122
Ho1 0.5000 0.0000 0.9464
```